The following is a calculated PXRD pattern of BaLi2NiO3. It was derived from a GGA+U-relaxed structure, using Cu Kα.
Kinematic intensities with the Lorentz-polarization factor, no thermal factor.

Lattice parameters (Å, degrees): 8.0440 6.8790 7.1040 90.00 90.00 90.00
Positions (direct):
Ba 0.0394 0.2500 0.1510
Ba 0.4606 0.7500 0.6510
Ba 0.5394 0.2500 0.3490
Ba 0.9606 0.7500 0.8490
Li 0.1418 0.0366 0.5527
Li 0.1418 0.4634 0.5527
Li 0.3582 0.5366 0.0527
Li 0.3582 0.9634 0.0527
Li 0.6418 0.0366 0.9473
Li 0.6418 0.4634 0.9473
Li 0.8582 0.5366 0.4473
Li 0.8582 0.9634 0.4473
Ni 0.1885 0.7500 0.3213
Ni 0.3115 0.2500 0.8213
Ni 0.6885 0.7500 0.1787
Ni 0.8115 0.2500 0.6787
O 0.0128 0.7500 0.4960
O 0.2170 0.0032 0.8187
O 0.2170 0.4968 0.8187
O 0.2830 0.5032 0.3187
O 0.2830 0.9968 0.3187
O 0.4872 0.2500 0.9960
O 0.5128 0.7500 0.0040
O 0.7170 0.0032 0.6813
O 0.7170 0.4968 0.6813
O 0.7830 0.5032 0.1813
O 0.7830 0.9968 0.1813
O 0.9872 0.2500 0.5040

The 6 most intense peaks (10 to 90 degrees two-theta), by angle:
| h k l | 2θ/deg | intensity |
| --- | --- | --- |
| 0 2 0 | 25.9 | 50 |
| 2 1 1 | 28.6 | 100 |
| 1 1 2 | 30.4 | 92 |
| 2 2 1 | 36.6 | 32 |
| 2 3 1 | 47.4 | 23 |
| 3 2 3 | 58.5 | 27 |